Starting from a DFT-relaxed cell (PBE, Alexandria), the powder X-ray diffraction pattern of LiTbTl4 was simulated for Cu Kα (λ = 1.5418 Å).

The 10 most intense peaks (5° ≤ 2θ ≤ 70°), in order of rising 2θ:
2θ/deg  I_rel  index
21.44  31  0 0 2
25.84  36  1 0 1
28.81  60  1 1 0
33.34  47  0 2 0
36.19  100  1 1 -2
36.56  53  0 1 3
42.65  19  1 2 1
59.69  18  2 2 0
61.45  22  1 3 -2
61.73  23  0 3 3

Structure:
abc: 3.7915 5.3754 8.2909
angles: 90.00 90.06 90.00
Space group Pm (No. 6)
Symmetry-distinct sites (fractional):
Li  0.0000  0.0000  0.0000 [1 per cell]
Tb  0.4983  0.5000  0.5000 [1 per cell]
Tl  0.4981  0.0000  0.7107 [1 per cell]
Tl  0.5015  0.0000  0.2892 [1 per cell]
Tl  0.9983  0.5000  0.1824 [1 per cell]
Tl  0.9991  0.5000  0.8175 [1 per cell]

=====

Starting from a DFT-relaxed cell (PBE, Alexandria), the powder X-ray diffraction pattern of ScNb2MoC was simulated for Cu Kα (λ = 1.5418 Å).

The 10 most intense peaks (5° ≤ 2θ ≤ 70°), in order of rising 2θ:
2θ/deg  I_rel  index
19.96  9  1 0 0
21.47  3  0 0 1
29.48  3  1 0 1
35.86  100  1 1 1
40.55  40  2 0 0
43.75  16  0 0 2
45.59  2  2 1 0
46.34  2  2 0 1
58.69  13  2 2 0
61.17  22  2 0 2

Structure:
abc: 4.4491 4.4491 4.1382
angles: 90.00 90.00 90.00
Space group P4/mmm (No. 123)
Symmetry-distinct sites (fractional):
Sc  0.0000  0.0000  0.0000 [1 per cell]
Nb  0.0000  0.5000  0.5000 [2 per cell]
Mo  0.5000  0.5000  0.0000 [1 per cell]
C  0.5000  0.5000  0.5000 [1 per cell]